Diffraction record for YIrRhS2. The powder X-ray diffraction pattern is simulated, not measured: it uses the GGA-PBE geometry in Alexandria and λ = 1.5418 Å (Cu Kα).

Most intense lines, 2θ = 15–90°, by angle:
2θ 18.93, I 59
2θ 26.87, I 100
2θ 38.16, I 25
2θ 38.40, I 49
2θ 43.15, I 16
2θ 47.31, I 28
2θ 47.46, I 16
2θ 55.26, I 33
2θ 55.44, I 17
2θ 69.30, I 17

Atomic structure:
a b c (Å): 4.688 4.688 4.716
angles (deg): 90.00 90.00 90.00
Positions (direct):
Y: 0.000 0.000 0.000
Ir: 0.500 0.500 0.500
Rh: 0.500 0.500 0.000
S: 0.000 0.500 0.500
S: 0.500 0.000 0.500

Diffraction record for CdAs2O4. The powder X-ray diffraction pattern is simulated, not measured: it uses the GGA-PBE geometry in Alexandria and λ = 1.5418 Å (Cu Kα).

Most intense lines, 2θ = 15–90°, by angle:
2θ 26.57, I 92
2θ 27.80, I 100
2θ 31.16, I 63
2θ 33.16, I 45
2θ 36.07, I 96
2θ 43.83, I 72
2θ 52.68, I 50
2θ 59.36, I 29
2θ 60.60, I 32
2θ 63.05, I 19

Atomic structure:
a b c (Å): 9.077 9.077 5.956
angles (deg): 90.00 90.00 90.00
Positions (direct):
Cd: 0.000 0.500 0.250
Cd: 0.000 0.500 0.750
Cd: 0.500 0.000 0.250
Cd: 0.500 0.000 0.750
As: 0.180 0.198 0.000
As: 0.198 0.820 0.500
As: 0.302 0.320 0.500
As: 0.320 0.698 0.000
As: 0.680 0.302 0.000
As: 0.698 0.680 0.500
As: 0.802 0.180 0.500
As: 0.820 0.802 0.000
O: 0.109 0.345 0.500
O: 0.155 0.391 0.000
O: 0.189 0.689 0.250
O: 0.189 0.689 0.750
O: 0.311 0.189 0.250
O: 0.311 0.189 0.750
O: 0.345 0.891 0.000
O: 0.391 0.845 0.500
O: 0.609 0.155 0.500
O: 0.655 0.109 0.000
O: 0.689 0.811 0.250
O: 0.689 0.811 0.750
O: 0.811 0.311 0.250
O: 0.811 0.311 0.750
O: 0.845 0.609 0.000
O: 0.891 0.655 0.500

Diffraction record for CsHg2As. The powder X-ray diffraction pattern is simulated, not measured: it uses the GGA-PBE geometry in Alexandria and λ = 1.5418 Å (Cu Kα).

Most intense lines, 2θ = 15–90°, by angle:
2θ 20.39, I 100
2θ 27.59, I 64
2θ 27.72, I 64
2θ 28.27, I 49
2θ 29.06, I 39
2θ 35.76, I 84
2θ 40.35, I 24
2θ 41.46, I 30
2θ 46.09, I 25
2θ 46.31, I 25

Atomic structure:
a b c (Å): 8.713 6.145 15.282
angles (deg): 90.00 124.29 90.00
Positions (direct):
Cs: 0.249 0.250 0.250
Cs: 0.249 0.250 0.750
Cs: 0.751 0.750 0.250
Cs: 0.751 0.750 0.750
Hg: 0.034 0.726 0.034
Hg: 0.034 0.774 0.534
Hg: 0.466 0.726 0.966
Hg: 0.466 0.774 0.466
Hg: 0.534 0.226 0.534
Hg: 0.534 0.274 0.034
Hg: 0.966 0.226 0.466
Hg: 0.966 0.274 0.966
As: 0.249 0.000 0.999
As: 0.249 0.500 0.499
As: 0.751 0.000 0.001
As: 0.751 0.500 0.501

Diffraction record for InCu2Pd2. The powder X-ray diffraction pattern is simulated, not measured: it uses the GGA-PBE geometry in Alexandria and λ = 1.5418 Å (Cu Kα).

Most intense lines, 2θ = 15–90°, by angle:
2θ 29.18, I 18
2θ 34.76, I 30
2θ 38.11, I 24
2θ 40.03, I 46
2θ 41.99, I 56
2θ 43.67, I 100
2θ 54.04, I 16
2θ 75.24, I 19
2θ 81.01, I 15
2θ 83.59, I 18

Atomic structure:
a b c (Å): 7.117 7.117 7.117
angles (deg): 143.10 132.86 61.33
Positions (direct):
In: 0.365 0.115 0.250
In: 0.635 0.885 0.750
Cu: 0.124 0.874 0.250
Cu: 0.245 0.495 0.750
Cu: 0.755 0.505 0.250
Cu: 0.876 0.126 0.750
Pd: 0.176 0.680 0.496
Pd: 0.316 0.320 0.996
Pd: 0.684 0.680 0.004
Pd: 0.824 0.320 0.504